# 1
This entry pairs a crystal structure of Nd2OsC4 with its computed powder XRD pattern. Radiation: Cu Ka. Structure: a cell relaxed with PBE.
No peak broadening, texture or thermal motion is included.

Crystal structure
```
data_Nd2OsC4
_chemical_formula_sum 'Nd8 Os4 C16'
_cell_length_a 7.9011
_cell_length_b 9.8861
_cell_length_c 5.4464
_cell_angle_alpha 90.00
_cell_angle_beta 90.00
_cell_angle_gamma 90.00
_space_group_name_H-M_alt 'I b a m'
_space_group_IT_number 72
_space_group_name_Hall '-I 2 2c'
loop_
_atom_site_label
_atom_site_type_symbol
_atom_site_fract_x
_atom_site_fract_y
_atom_site_fract_z
_atom_site_occupancy
Nd1 Nd 0.1470 0.1512 0.0000 1
Os1 Os 0.0000 0.5000 0.2500 1
C1 C 0.1669 0.1242 0.5000 1
C2 C 0.1716 0.4267 0.0000 1
```

Peak list (12 most intense, 2θ from 10° to 90°, by angle)
| Position (°2θ) | I (rel.) |
| --- | --- |
| 14.35 | 17 |
| 26.84 | 36 |
| 28.93 | 19 |
| 29.36 | 100 |
| 35.27 | 31 |
| 36.05 | 41 |
| 37.71 | 16 |
| 40.22 | 15 |
| 43.18 | 11 |
| 49.82 | 19 |
| 56.02 | 30 |
| 57.65 | 13 |


# 2
This entry pairs a crystal structure of Nd2OsC2 with its computed powder XRD pattern. Radiation: Cu Ka. Structure: a cell relaxed with PBE.
No peak broadening, texture or thermal motion is included.

Crystal structure
```
data_Nd2OsC2
_chemical_formula_sum 'Nd8 Os4 C8'
_cell_length_a 6.5517
_cell_length_b 5.3933
_cell_length_c 10.1648
_cell_angle_alpha 90.00
_cell_angle_beta 90.00
_cell_angle_gamma 90.00
_space_group_name_H-M_alt 'P n m a'
_space_group_IT_number 62
loop_
_space_group_symop_operation_xyz
'x,y,z'
'-x,-y,-z'
'-x+1/2,-y,z+1/2'
'x+1/2,y,-z+1/2'
'x+1/2,-y+1/2,-z+1/2'
'-x+1/2,y+1/2,z+1/2'
'-x,y+1/2,-z'
'x,-y+1/2,z'
loop_
_atom_site_label
_atom_site_type_symbol
_atom_site_fract_x
_atom_site_fract_y
_atom_site_fract_z
_atom_site_occupancy
Nd1 Nd 0.0198 0.2500 0.2207 1
Nd2 Nd 0.1955 0.2500 0.5482 1
Os1 Os 0.2344 0.2500 0.8584 1
C1 C 0.0268 0.7500 0.2437 1
C2 C 0.1855 0.7500 0.5407 1
```

Peak list (12 most intense, 2θ from 10° to 90°, by angle)
| Position (°2θ) | I (rel.) |
| --- | --- |
| 31.17 | 36 |
| 31.96 | 8 |
| 32.52 | 14 |
| 33.20 | 100 |
| 34.12 | 38 |
| 37.98 | 9 |
| 45.16 | 15 |
| 47.17 | 10 |
| 57.21 | 11 |
| 59.33 | 13 |
| 59.93 | 8 |
| 66.75 | 9 |